# 1
For Sm4TlRu, a DFT-relaxed cell (GGA-PBE, Alexandria) gives the computed XRD peak list in this record (Cu Kα (λ = 1.5418 Å)).
Lines closer than 0.1° are merged.

Most intense lines, 2θ = 15–90°, by intensity:
- hkl -1 2 1, d 2.754, intensity 100.0
- hkl 2 0 -1, d 3.102, intensity 78.6
- hkl 1 0 2, d 2.817, intensity 74.8
- hkl 1 2 0, d 2.711, intensity 57.6
- hkl 2 -2 1, d 2.447, intensity 52.2
- hkl 1 0 -3, d 2.582, intensity 43.0
- hkl 0 2 -2, d 3.308, intensity 36.7
- hkl 1 2 -3, d 2.519, intensity 26.4
- hkl 2 1 -2, d 2.663, intensity 22.1
- hkl 0 4 -2, d 1.874, intensity 22.0

Structural model:
Cell lengths 6.275, 7.542, 8.472 Å; angles 112.79, 103.13, 96.04 degrees
Space group P-1 (No. 2)
Inequivalent atoms, fractional coordinates:
Sm1 0.035 0.286 0.465 [2 per cell]
Sm2 0.120 0.201 0.855 [2 per cell]
Sm3 0.394 0.634 0.287 [2 per cell]
Sm4 0.442 0.090 0.240 [2 per cell]
Tl1 0.226 0.658 0.893 [2 per cell]
Ru1 0.254 0.998 0.498 [2 per cell]

# 2
For Sm3TlRu2, a DFT-relaxed cell (GGA-PBE, Alexandria) gives the computed XRD peak list in this record (Cu Kα (λ = 1.5418 Å)).
Lines closer than 0.1° are merged.

Most intense lines, 2θ = 15–90°, by intensity:
- hkl 1 0 3, d 2.617, intensity 100.0
- hkl 1 1 0, d 2.448, intensity 54.6
- hkl 2 1 3, d 1.444, intensity 31.9
- hkl 0 0 4, d 2.998, intensity 24.1
- hkl 2 0 0, d 1.731, intensity 22.5
- hkl 1 0 4, d 2.266, intensity 9.7
- hkl 1 0 7, d 1.535, intensity 9.2
- hkl 2 0 4, d 1.499, intensity 9.1
- hkl 3 1 0, d 1.095, intensity 9.0
- hkl 1 1 4, d 1.896, intensity 8.8

Structural model:
Cell lengths 3.463, 3.463, 11.987 Å; angles 90.00, 90.00, 90.00 degrees
Space group P4/mmm (No. 123)
Inequivalent atoms, fractional coordinates:
Sm1 0.000 0.000 0.000 [1 per cell]
Sm2 0.000 0.000 0.289 [2 per cell]
Tl1 0.500 0.500 0.500 [1 per cell]
Ru1 0.500 0.500 0.150 [2 per cell]

# 3
For SmTm2Ru2, a DFT-relaxed cell (GGA-PBE, Alexandria) gives the computed XRD peak list in this record (Cu Kα (λ = 1.5418 Å)).
Lines closer than 0.1° are merged.

Most intense lines, 2θ = 15–90°, by intensity:
- hkl 1 1 1, d 2.381, intensity 100.0
- hkl 0 6 1, d 2.390, intensity 97.5
- hkl 1 5 0, d 2.608, intensity 74.1
- hkl 0 6 0, d 3.380, intensity 43.0
- hkl 2 6 1, d 1.386, intensity 34.9
- hkl 1 7 0, d 2.207, intensity 31.6
- hkl 1 11 1, d 1.462, intensity 25.5
- hkl 1 5 2, d 1.417, intensity 24.7
- hkl 2 0 2, d 1.199, intensity 21.1
- hkl 0 4 0, d 5.074, intensity 18.1

Structural model:
Cell lengths 3.404, 20.297, 3.377 Å; angles 90.00, 90.00, 90.00 degrees
Space group Cmmm (No. 65)
Inequivalent atoms, fractional coordinates:
Sm1 0.000 0.000 0.000 [2 per cell]
Tm1 0.000 0.167 0.000 [4 per cell]
Ru1 0.000 0.407 0.500 [4 per cell]

# 4
For Sm3TmRu, a DFT-relaxed cell (GGA-PBE, Alexandria) gives the computed XRD peak list in this record (Cu Kα (λ = 1.5418 Å)).
Lines closer than 0.1° are merged.

Most intense lines, 2θ = 15–90°, by intensity:
- hkl 0 2 2, d 2.825, intensity 100.0
- hkl 2 0 2, d 3.187, intensity 62.9
- hkl 2 2 0, d 2.933, intensity 47.9
- hkl 4 2 2, d 1.813, intensity 36.4
- hkl 3 1 0, d 2.905, intensity 26.2
- hkl 0 0 4, d 2.157, intensity 24.1
- hkl 2 2 4, d 1.738, intensity 21.4
- hkl 4 0 0, d 2.364, intensity 21.2
- hkl 3 3 2, d 1.781, intensity 19.5
- hkl 3 1 2, d 2.409, intensity 18.3

Structural model:
Cell lengths 9.457, 7.478, 8.627 Å; angles 90.00, 90.00, 90.00 degrees
Space group Ima2 (No. 46)
Inequivalent atoms, fractional coordinates:
Sm1 0.039 0.248 0.000 [8 per cell]
Sm2 0.250 0.519 0.248 [4 per cell]
Tm1 0.250 0.526 0.752 [4 per cell]
Ru1 0.250 0.745 0.500 [4 per cell]

# 5
For Sm3U2Ru6, a DFT-relaxed cell (GGA-PBE, Alexandria) gives the computed XRD peak list in this record (Cu Kα (λ = 1.5418 Å)).
Lines closer than 0.1° are merged.

Most intense lines, 2θ = 15–90°, by intensity:
- hkl 3 3 0, d 2.261, intensity 100.0
- hkl 2 2 2, d 2.769, intensity 71.6
- hkl 4 2 0, d 2.145, intensity 46.1
- hkl 6 2 2, d 1.446, intensity 37.1
- hkl 4 0 0, d 2.398, intensity 32.8
- hkl 3 2 1, d 2.564, intensity 27.4
- hkl 6 3 3, d 1.305, intensity 23.4
- hkl 4 2 2, d 1.958, intensity 22.5
- hkl 2 0 0, d 4.796, intensity 16.7
- hkl 4 4 4, d 1.385, intensity 16.7

Structural model:
Cell lengths 9.593, 9.593, 9.593 Å; angles 90.00, 90.00, 90.00 degrees
Space group Im-3m (No. 229)
Inequivalent atoms, fractional coordinates:
Sm1 0.000 0.000 0.285 [12 per cell]
U1 0.250 0.250 0.250 [8 per cell]
Ru1 0.000 0.346 0.346 [24 per cell]

# 6
For Sm2YRu2, a DFT-relaxed cell (GGA-PBE, Alexandria) gives the computed XRD peak list in this record (Cu Kα (λ = 1.5418 Å)).
Lines closer than 0.1° are merged.

Most intense lines, 2θ = 15–90°, by intensity:
- hkl 0 1 3, d 2.717, intensity 100.0
- hkl 1 1 -3, d 2.534, intensity 90.0
- hkl 0 2 0, d 2.197, intensity 71.2
- hkl 1 1 3, d 2.352, intensity 61.3
- hkl 2 0 1, d 2.595, intensity 58.5
- hkl 2 1 1, d 2.234, intensity 55.5
- hkl 1 1 1, d 3.194, intensity 54.4
- hkl 0 1 1, d 4.044, intensity 49.2
- hkl 2 0 -2, d 2.570, intensity 46.6
- hkl 2 2 -2, d 1.670, intensity 43.0

Structural model:
Cell lengths 5.568, 4.393, 10.447 Å; angles 90.00, 96.87, 90.00 degrees
Space group P2_1/m (No. 11)
Inequivalent atoms, fractional coordinates:
Sm1 0.110 0.250 0.383 [2 per cell]
Sm2 0.251 0.250 0.029 [2 per cell]
Y1 0.416 0.250 0.714 [2 per cell]
Ru1 0.254 0.750 0.848 [2 per cell]
Ru2 0.361 0.750 0.540 [2 per cell]

# 7
For Sm2ZnRu2, a DFT-relaxed cell (GGA-PBE, Alexandria) gives the computed XRD peak list in this record (Cu Kα (λ = 1.5418 Å)).
Lines closer than 0.1° are merged.

Most intense lines, 2θ = 15–90°, by intensity:
- hkl 1 1 -3, d 2.422, intensity 100.0
- hkl 0 2 1, d 2.606, intensity 76.3
- hkl 2 2 -1, d 2.372, intensity 75.2
- hkl 2 2 1, d 2.199, intensity 66.6
- hkl 2 0 2, d 2.671, intensity 64.0
- hkl 3 1 -2, d 2.531, intensity 45.9
- hkl 4 0 0, d 2.356, intensity 43.7
- hkl 2 0 -2, d 3.497, intensity 42.5
- hkl 3 1 1, d 2.408, intensity 42.0
- hkl 3 1 -1, d 2.789, intensity 36.3

Structural model:
Cell lengths 9.783, 5.531, 8.083 Å; angles 90.00, 105.54, 90.00 degrees
Space group C2/c (No. 15)
Inequivalent atoms, fractional coordinates:
Sm1 0.146 0.152 0.147 [8 per cell]
Zn1 0.000 0.366 0.750 [4 per cell]
Ru1 0.138 0.352 0.510 [8 per cell]

# 8
For Sm12Zn6Ru, a DFT-relaxed cell (GGA-PBE, Alexandria) gives the computed XRD peak list in this record (Cu Kα (λ = 1.5418 Å)).
Lines closer than 0.1° are merged.

Most intense lines, 2θ = 15–90°, by intensity:
- hkl 4 -3 1, d 2.789, intensity 100.0
- hkl 4 -2 3, d 2.463, intensity 80.2
- hkl 1 0 4, d 3.149, intensity 57.7
- hkl 4 -1 2, d 2.620, intensity 42.9
- hkl 2 1 4, d 2.520, intensity 40.1
- hkl 3 -1 1, d 3.731, intensity 30.8
- hkl 1 2 5, d 2.188, intensity 20.9
- hkl 2 5 3, d 1.543, intensity 18.0
- hkl 2 2 0, d 2.970, intensity 17.9
- hkl 5 1 1, d 1.830, intensity 17.8

Structural model:
Cell lengths 11.8802, 11.8802, 13.2307 Å; angles 90.00, 90.00, 120.00 degrees
Space group R-3 (No. 148, hexagonal axes)
Inequivalent atoms, fractional coordinates:
Sm1 0.0374 0.8420 0.3740 [18 per cell]
Sm2 0.0391 0.1939 0.8906 [18 per cell]
Zn1 0.0035 0.4027 0.7582 [18 per cell]
Ru1 0.0000 0.0000 0.5000 [3 per cell]

# 9
For SnRu5, a DFT-relaxed cell (GGA-PBE, Alexandria) gives the computed XRD peak list in this record (Cu Kα (λ = 1.5418 Å)).
Lines closer than 0.1° are merged.

Most intense lines, 2θ = 15–90°, by intensity:
- hkl 1 3 1, d 2.263, intensity 100.0
- hkl 0 0 2, d 1.948, intensity 16.3
- hkl 2 0 0, d 1.939, intensity 16.1
- hkl 0 6 0, d 1.993, intensity 15.5
- hkl 1 3 3, d 1.177, intensity 12.2
- hkl 3 3 1, d 1.173, intensity 12.0
- hkl 1 9 1, d 1.196, intensity 10.7
- hkl 2 0 2, d 1.374, intensity 10.3
- hkl 2 6 2, d 1.132, intensity 10.0
- hkl 0 6 2, d 1.393, intensity 9.6

Structural model:
Cell lengths 3.879, 11.961, 3.896 Å; angles 90.00, 90.00, 90.00 degrees
Space group Cmmm (No. 65)
Inequivalent atoms, fractional coordinates:
Sn1 0.000 0.000 0.000 [2 per cell]
Ru1 0.000 0.177 0.500 [4 per cell]
Ru2 0.000 0.321 0.000 [4 per cell]
Ru3 0.000 0.500 0.500 [2 per cell]

# 10
For Tb7Sn2Ru2, a DFT-relaxed cell (GGA-PBE, Alexandria) gives the computed XRD peak list in this record (Cu Kα (λ = 1.5418 Å)).
Lines closer than 0.1° are merged.

Most intense lines, 2θ = 15–90°, by intensity:
- hkl 2 2 2, d 2.409, intensity 100.0
- hkl 0 4 0, d 2.729, intensity 59.9
- hkl 2 2 0, d 3.258, intensity 52.4
- hkl 1 1 2, d 3.136, intensity 43.8
- hkl 1 3 2, d 2.434, intensity 41.2
- hkl 2 0 1, d 3.532, intensity 33.1
- hkl 0 2 2, d 2.992, intensity 20.8
- hkl 0 4 4, d 1.496, intensity 19.7
- hkl 4 0 0, d 2.031, intensity 19.4
- hkl 0 0 4, d 1.789, intensity 19.1

Structural model:
Cell lengths 8.124, 10.915, 7.154 Å; angles 90.00, 90.00, 90.00 degrees
Space group Cmmm (No. 65)
Inequivalent atoms, fractional coordinates:
Tb1 0.000 0.000 0.000 [2 per cell]
Tb2 0.000 0.500 0.235 [4 per cell]
Tb3 0.250 0.250 0.249 [8 per cell]
Sn1 0.181 0.000 0.500 [4 per cell]
Ru1 0.000 0.289 0.000 [4 per cell]

# 11
For Tb3Sn2Ru2, a DFT-relaxed cell (GGA-PBE, Alexandria) gives the computed XRD peak list in this record (Cu Kα (λ = 1.5418 Å)).
Lines closer than 0.1° are merged.

Most intense lines, 2θ = 15–90°, by intensity:
- hkl 2 1 0, d 2.709, intensity 100.0
- hkl 2 1 3, d 2.343, intensity 67.3
- hkl 1 3 0, d 2.457, intensity 66.7
- hkl 0 2 4, d 2.652, intensity 44.5
- hkl 1 1 4, d 2.803, intensity 39.4
- hkl 0 0 6, d 2.328, intensity 30.8
- hkl 3 2 3, d 1.625, intensity 21.2
- hkl 0 2 3, d 3.067, intensity 20.1
- hkl 2 1 4, d 2.141, intensity 19.2
- hkl 1 3 3, d 2.173, intensity 19.0

Structural model:
Cell lengths 5.750, 8.153, 13.969 Å; angles 90.00, 90.00, 90.00 degrees
Space group Pbcm (No. 57)
Inequivalent atoms, fractional coordinates:
Tb1 0.116 0.220 0.250 [4 per cell]
Tb2 0.336 0.595 0.093 [8 per cell]
Sn1 0.151 0.250 0.000 [4 per cell]
Sn2 0.392 0.618 0.750 [4 per cell]
Ru1 0.147 0.540 0.592 [8 per cell]

# 12
For Tb7SnRu2, a DFT-relaxed cell (GGA-PBE, Alexandria) gives the computed XRD peak list in this record (Cu Kα (λ = 1.5418 Å)).
Lines closer than 0.1° are merged.

Most intense lines, 2θ = 15–90°, by intensity:
- hkl 0 0 2, d 2.593, intensity 100.0
- hkl 2 4 0, d 2.706, intensity 86.1
- hkl 2 4 2, d 1.871, intensity 69.9
- hkl 3 1 1, d 2.544, intensity 66.8
- hkl 0 0 1, d 5.182, intensity 64.7
- hkl 0 4 1, d 2.838, intensity 56.9
- hkl 1 3 1, d 3.185, intensity 48.5
- hkl 2 0 1, d 3.391, intensity 37.7
- hkl 3 3 0, d 2.495, intensity 34.5
- hkl 0 0 4, d 1.295, intensity 31.8

Structural model:
Cell lengths 8.972, 13.568, 5.182 Å; angles 90.00, 90.00, 90.00 degrees
Space group Cmmm (No. 65)
Inequivalent atoms, fractional coordinates:
Tb1 0.000 0.000 0.000 [2 per cell]
Tb2 0.000 0.226 0.500 [4 per cell]
Tb3 0.186 0.369 0.000 [8 per cell]
Sn1 0.000 0.500 0.500 [2 per cell]
Ru1 0.000 0.199 0.000 [4 per cell]

# 13
For SnTe2Ru, a DFT-relaxed cell (GGA-PBE, Alexandria) gives the computed XRD peak list in this record (Cu Kα (λ = 1.5418 Å)).
Lines closer than 0.1° are merged.

Most intense lines, 2θ = 15–90°, by intensity:
- hkl 0 1 8, d 2.395, intensity 100.0
- hkl 0 1 2, d 3.191, intensity 79.3
- hkl 1 1 0, d 1.892, intensity 58.8
- hkl 1 0 10, d 2.132, intensity 57.1
- hkl 1 0 1, d 3.254, intensity 51.5
- hkl 0 1 5, d 2.830, intensity 36.7
- hkl 1 1 18, d 1.203, intensity 25.8
- hkl 0 0 9, d 3.119, intensity 25.4
- hkl 1 1 9, d 1.617, intensity 22.5
- hkl 2 0 8, d 1.484, intensity 22.4

Structural model:
Cell lengths 3.7835, 3.7835, 28.0675 Å; angles 90.00, 90.00, 120.00 degrees
Space group R-3m (No. 166, hexagonal axes)
Inequivalent atoms, fractional coordinates:
Sn1 0.0000 0.0000 0.0000 [3 per cell]
Te1 0.0000 0.0000 0.1136 [6 per cell]
Ru1 0.0000 0.0000 0.5000 [3 per cell]